The following is a theoretical PXRD pattern of Li7MgNi7O16. It was derived from a crystal structure in Alexandria, relaxed with GGA+U, using copper Kα.
Kinematic intensities with the Lorentz-polarization factor, no thermal factor.

Peak list (10 most intense, 2θ = 15–90°, low angle first)
d [Å]	I (rel.)	hkl
4.797	100.0	1 0 1
2.482	13.6	0 2 -1
2.451	12.8	0 2 3
2.440	12.3	1 0 -3
2.067	22.7	1 -2 2
2.045	22.4	1 2 4
2.037	21.9	2 0 -2
1.882	8.1	1 0 5
1.460	11.3	3 2 2
1.443	6.1	1 2 -4

Structural model:
Unit cell a=5.0688 b=5.7997 c=9.9545 alpha=73.85 beta=79.15 gamma=89.92
Fractional coordinates of all 31 atoms:
Li1 0.0000 0.0000 0.0000
Li2 0.2327 0.3828 0.7524
Li3 0.2395 0.8695 0.7583
Li4 0.4939 0.7436 0.5014
Li5 0.5061 0.2564 0.4986
Li6 0.7605 0.1305 0.2417
Li7 0.7673 0.6172 0.2476
Mg1 0.0000 0.0000 0.5000
Ni1 0.0000 0.5000 0.5000
Ni2 0.2587 0.3674 0.2498
Ni3 0.2685 0.8629 0.2519
Ni4 0.4923 0.2491 0.0002
Ni5 0.5077 0.7509 0.9998
Ni6 0.7315 0.1371 0.7481
Ni7 0.7413 0.6326 0.7502
O1 0.0770 0.2034 0.6281
O2 0.0847 0.6774 0.6279
O3 0.1564 0.1462 0.1351
O4 0.1695 0.6851 0.1353
O5 0.3733 0.0539 0.3642
O6 0.3793 0.5754 0.3674
O7 0.3947 0.0831 0.8759
O8 0.4094 0.5858 0.8761
O9 0.5906 0.4142 0.1239
O10 0.6053 0.9169 0.1241
O11 0.6207 0.4246 0.6326
O12 0.6267 0.9461 0.6358
O13 0.8305 0.3149 0.8647
O14 0.8436 0.8538 0.8649
O15 0.9153 0.3226 0.3721
O16 0.9230 0.7966 0.3719